(1)
For Al2CdCl8, DFT lattice parameters and positions (GGA-PBE) gives the computed PXRD pattern in this record (Cu Kα).
Neutral-atom scattering factors, no anomalous dispersion.

a = 7.0888 Å, b = 6.6151 Å, c = 12.9542 Å
α = 90.00°, β = 92.74°, γ = 90.00°
Space group Pc (No. 7)
One atom of each set of equivalent atoms:
1 Al 0.0000 0.0659 0.0000
2 Al 0.5867 0.4335 0.1986
3 Cd 0.4393 0.2532 0.9585
4 Cl 0.0926 0.3785 0.0174
5 Cl 0.2229 0.0665 0.4091
6 Cl 0.3571 0.4159 0.7755
7 Cl 0.4900 0.1287 0.1591
8 Cl 0.5961 0.4254 0.5453
9 Cl 0.7404 0.0559 0.9007
10 Cl 0.8444 0.4400 0.2840
11 Cl 0.9749 0.0847 0.6413

Main lines, in order of rising 2θ (10 to 90 degrees two-theta):
d 7.081, 12.50 deg, I = 41, (1 0 0); d 6.470, 13.69 deg, I = 43, (0 0 2); d 5.890, 15.04 deg, I = 100, (0 1 1); d 4.577, 19.39 deg, I = 41, (1 1 -1); d 2.999, 29.79 deg, I = 37, (1 2 0); d 2.906, 30.76 deg, I = 85, (1 2 1); d 2.859, 31.29 deg, I = 41, (2 1 -2); d 1.903, 47.81 deg, I = 42, (1 3 -3)


(2)
For SrDyCdAs2, DFT lattice parameters and positions (GGA-PBE) gives the computed PXRD pattern in this record (Cu Kα).
Neutral-atom scattering factors, no anomalous dispersion.

a = 4.2889 Å, b = 17.6494 Å, c = 6.9636 Å
α = 90.00°, β = 90.00°, γ = 90.00°
Space group Cmc2_1 (No. 36)
One atom of each set of equivalent atoms:
1 Sr 0.0000 0.1949 0.0000
2 Dy 0.0000 0.0274 0.6807
3 Cd 0.0000 0.3904 0.8550
4 As 0.0000 0.1769 0.5214
5 As 0.0000 0.4489 0.4724

Main lines, in order of rising 2θ (10 to 90 degrees two-theta):
d 8.825, 10.02 deg, I = 67, (0 2 0); d 3.239, 27.54 deg, I = 27, (0 2 2); d 3.103, 28.77 deg, I = 40, (1 3 1); d 2.727, 32.84 deg, I = 100, (1 5 0); d 2.710, 33.06 deg, I = 37, (0 6 1); d 2.672, 33.54 deg, I = 74, (1 1 2); d 2.456, 36.58 deg, I = 80, (1 3 2); d 2.144, 42.14 deg, I = 42, (2 0 0)


(3)
For K2PtC4I2N4, DFT lattice parameters and positions (GGA-PBE) gives the computed PXRD pattern in this record (Cu Kα).
Neutral-atom scattering factors, no anomalous dispersion.

a = 7.2594 Å, b = 9.1226 Å, c = 8.8983 Å
α = 90.00°, β = 107.50°, γ = 90.00°
Space group P2_1/c (No. 14)
One atom of each set of equivalent atoms:
1 K 0.0257 0.2137 0.3824
2 Pt 0.5000 0.0000 0.0000
3 C 0.2970 0.0382 0.1073
4 C 0.3002 0.0425 0.7933
5 I 0.3969 0.7127 0.9690
6 N 0.1741 0.0639 0.1638
7 N 0.1774 0.0683 0.6765

Main lines, in order of rising 2θ (10 to 90 degrees two-theta):
d 6.923, 12.79 deg, I = 87, (1 0 0); d 6.214, 14.25 deg, I = 35, (0 1 1); d 5.232, 16.95 deg, I = 30, (1 1 -1); d 4.236, 20.97 deg, I = 100, (1 0 -2); d 3.237, 27.56 deg, I = 26, (2 1 0); d 3.194, 27.94 deg, I = 25, (2 0 -2); d 3.030, 29.47 deg, I = 25, (1 1 2); d 2.863, 31.25 deg, I = 41, (0 3 1)


(4)
For Li5Mo2Br2, DFT lattice parameters and positions (GGA-PBE) gives the computed PXRD pattern in this record (Cu Kα).
Neutral-atom scattering factors, no anomalous dispersion.

a = 3.0020 Å, b = 3.0020 Å, c = 61.6402 Å
α = 90.00°, β = 90.00°, γ = 120.00°
Space group R3m (No. 160, hexagonal axes)
One atom of each set of equivalent atoms:
1 Li 0.0000 0.0000 0.0000
2 Li 0.0000 0.0000 0.1097
3 Li 0.0000 0.0000 0.2520
4 Li 0.0000 0.0000 0.3757
5 Li 0.0000 0.0000 0.8508
6 Mo 0.0000 0.0000 0.2961
7 Mo 0.0000 0.0000 0.4801
8 Br 0.0000 0.0000 0.0699
9 Br 0.0000 0.0000 0.8903

Main lines, in order of rising 2θ (10 to 90 degrees two-theta):
d 5.137, 17.26 deg, I = 100, (0 0 12); d 4.109, 21.63 deg, I = 32, (0 0 15); d 2.544, 35.28 deg, I = 77, (0 1 5); d 2.493, 36.02 deg, I = 24, (1 0 7); d 2.395, 37.55 deg, I = 48, (1 0 10); d 2.282, 39.48 deg, I = 24, (0 0 27); d 2.113, 42.80 deg, I = 43, (0 1 17); d 1.906, 47.72 deg, I = 35, (1 0 22)